No. 1
Simulated powder diffraction line list
Compound: Li2Ca2Tl
Radiation: copper Kα
Structure: a structure optimized by DFT (GGA-PBE)
No peak broadening, texture or thermal motion is included.

Largest 10 diffraction maxima, by intensity, 2θ = 15–90°:
d = 4.941 Å, 2θ 18.0, rel. 100.0; d = 2.536 Å, 2θ 35.4, rel. 48.1; d = 3.093 Å, 2θ 28.9, rel. 46.2; d = 4.211 Å, 2θ 21.1, rel. 39.4; d = 5.032 Å, 2θ 17.6, rel. 35.4; d = 3.921 Å, 2θ 22.7, rel. 34.3; d = 2.575 Å, 2θ 34.8, rel. 30.0; d = 2.777 Å, 2θ 32.2, rel. 26.6; d = 2.489 Å, 2θ 36.1, rel. 19.9; d = 2.470 Å, 2θ 36.4, rel. 19.5

Crystal structure
a b c (Å): 6.2444 6.2444 8.2311
angles (deg): 104.91 104.91 64.47
Element x y z (fractional)
Li: 0.0127 0.7840 0.5288
Li: 0.2160 0.9873 0.9712
Li: 0.7840 0.0127 0.0288
Li: 0.9873 0.2160 0.4712
Ca: 0.2317 0.4433 0.8531
Ca: 0.4433 0.2317 0.3531
Ca: 0.5567 0.7683 0.6469
Ca: 0.7683 0.5567 0.1469
Tl: 0.2220 0.7780 0.2500
Tl: 0.7780 0.2220 0.7500

No. 2
Simulated powder diffraction line list
Compound: Li15Ca6Tl8
Radiation: copper Kα
Structure: a structure optimized by DFT (GGA-PBE)
No peak broadening, texture or thermal motion is included.

Largest 10 diffraction maxima, by intensity, 2θ = 15–90°:
d = 2.475 Å, 2θ 36.3, rel. 100.0; d = 3.501 Å, 2θ 25.4, rel. 68.0; d = 4.222 Å, 2θ 21.0, rel. 67.9; d = 3.212 Å, 2θ 27.8, rel. 51.8; d = 2.695 Å, 2θ 33.2, rel. 37.5; d = 1.429 Å, 2θ 65.3, rel. 32.1; d = 1.565 Å, 2θ 59.0, rel. 31.9; d = 2.367 Å, 2θ 38.0, rel. 30.2; d = 2.021 Å, 2θ 44.8, rel. 22.6; d = 1.823 Å, 2θ 50.0, rel. 20.1

Crystal structure
a b c (Å): 9.9009 9.9009 9.9009
angles (deg): 60.00 60.00 60.00
Element x y z (fractional)
Li: 0.0000 0.0000 0.0000
Li: 0.0000 0.0000 0.5000
Li: 0.0000 0.5000 0.0000
Li: 0.0000 0.5000 0.5000
Li: 0.0212 0.3263 0.3263
Li: 0.3263 0.0212 0.3263
Li: 0.3263 0.3263 0.0212
Li: 0.3263 0.3263 0.3263
Li: 0.5000 0.0000 0.0000
Li: 0.5000 0.0000 0.5000
Li: 0.5000 0.5000 0.0000
Li: 0.6737 0.6737 0.6737
Li: 0.6737 0.6737 0.9788
Li: 0.6737 0.9788 0.6737
Li: 0.9788 0.6737 0.6737
Ca: 0.2875 0.2875 0.7125
Ca: 0.2875 0.7125 0.2875
Ca: 0.2875 0.7125 0.7125
Ca: 0.7125 0.2875 0.2875
Ca: 0.7125 0.2875 0.7125
Ca: 0.7125 0.7125 0.2875
Tl: 0.1257 0.1257 0.1257
Tl: 0.1257 0.1257 0.6230
Tl: 0.1257 0.6230 0.1257
Tl: 0.3770 0.8743 0.8743
Tl: 0.6230 0.1257 0.1257
Tl: 0.8743 0.3770 0.8743
Tl: 0.8743 0.8743 0.3770
Tl: 0.8743 0.8743 0.8743